Rb2GdI4: calculated PXRD pattern (Cu Kα (λ = 1.5418 Å)), based on a DFT-relaxed cell (GGA-PBE, Alexandria).
Intensities are scaled so that the largest is 100.

Largest 10 diffraction maxima, in order of rising 2θ, 10° ≤ 2θ ≤ 90°:
2θ = 15.18°, I 37; 2θ = 20.45°, I 37; 2θ = 22.57°, I 36; 2θ = 27.91°, I 41; 2θ = 28.03°, I 46; 2θ = 28.61°, I 41; 2θ = 29.08°, I 100; 2θ = 41.25°, I 60; 2θ = 41.59°, I 37; 2θ = 51.26°, I 32

Cell and atoms:
Cell: 6.141 6.141 18.719 Å, 90.00 90.00 90.00°
Space group I4/mmm (No. 139)
One atom of each set of equivalent atoms:
Rb (0.000, 0.000, 0.138) x4
Gd (0.000, 0.000, 0.500) x2
I (0.000, 0.000, 0.332) x4
I (0.000, 0.500, 0.000) x4

La3HoTh: calculated PXRD pattern (Cu Kα (λ = 1.5418 Å)), based on a DFT-relaxed cell (GGA-PBE, Alexandria).
Intensities are scaled so that the largest is 100.

Largest 10 diffraction maxima, in order of rising 2θ, 10° ≤ 2θ ≤ 90°:
2θ = 28.86°, I 21; 2θ = 29.64°, I 71; 2θ = 29.84°, I 65; 2θ = 30.70°, I 100; 2θ = 33.56°, I 74; 2θ = 35.30°, I 41; 2θ = 49.97°, I 49; 2θ = 51.59°, I 26; 2θ = 59.29°, I 57; 2θ = 83.52°, I 20

Cell and atoms:
Cell: 3.6506 3.6506 29.9392 Å, 90.00 90.00 120.00°
Space group P6_3mc (No. 186)
One atom of each set of equivalent atoms:
La (0.0000, 0.0000, 0.0000) x2
La (0.3333, 0.6667, 0.1079) x2
La (0.3333, 0.6667, 0.8010) x2
Ho (0.3333, 0.6667, 0.4039) x2
Th (0.0000, 0.0000, 0.2044) x2

NbTlCl4O: calculated PXRD pattern (Cu Kα (λ = 1.5418 Å)), based on a DFT-relaxed cell (GGA-PBE, Alexandria).
Intensities are scaled so that the largest is 100.

Largest 10 diffraction maxima, in order of rising 2θ, 10° ≤ 2θ ≤ 90°:
2θ = 13.21°, I 32; 2θ = 14.03°, I 68; 2θ = 18.13°, I 100; 2θ = 21.63°, I 38; 2θ = 23.04°, I 56; 2θ = 23.24°, I 36; 2θ = 25.76°, I 88; 2θ = 34.05°, I 66; 2θ = 34.75°, I 29; 2θ = 42.23°, I 30

Cell and atoms:
Cell: 8.096 15.307 13.408 Å, 90.00 90.00 90.00°
Space group Pbca (No. 61)
One atom of each set of equivalent atoms:
Nb (0.193, 0.106, 0.248) x8
Tl (0.009, 0.644, 0.883) x8
Cl (0.152, 0.248, 0.813) x8
Cl (0.157, 0.542, 0.687) x8
Cl (0.159, 0.050, 0.416) x8
Cl (0.160, 0.161, 0.081) x8
O (0.086, 0.606, 0.250) x8